For La2HoTm2In5, a GGA-PBE-relaxed structure gives the calculated X-ray powder pattern in this record (Cu Ka).
Kinematic intensities with the Lorentz-polarization factor, no thermal factor.

Peak list (12 most intense, 10° ≤ 2θ ≤ 90°, in order of rising 2θ)
hkl, 2theta, I_rel
2 2 1, 29.92, 19
3 1 1, 32.10, 100
4 1 0, 33.53, 26
3 3 0, 34.53, 11
3 2 1, 35.14, 38
4 2 0, 36.46, 8
4 0 1, 37.96, 10
0 0 2, 38.74, 27
4 1 2, 52.15, 15
7 2 1, 64.75, 12
3 1 3, 65.97, 12
3 2 3, 67.81, 8

Atomic structure:
a b c (Å): 11.0196 11.0196 4.6492
angles (deg): 90.00 90.00 90.00
Positions (direct):
La: 0.1763 0.3237 0.0000
La: 0.3237 0.8237 0.0000
La: 0.6763 0.1763 0.0000
La: 0.8237 0.6763 0.0000
Ho: 0.0000 0.0000 0.0000
Ho: 0.5000 0.5000 0.0000
Tm: 0.1238 0.6238 0.0000
Tm: 0.3762 0.1238 0.0000
Tm: 0.6238 0.8762 0.0000
Tm: 0.8762 0.3762 0.0000
In: 0.0000 0.5000 0.5000
In: 0.0618 0.8051 0.5000
In: 0.1949 0.0618 0.5000
In: 0.3051 0.5618 0.5000
In: 0.4382 0.3051 0.5000
In: 0.5000 0.0000 0.5000
In: 0.5618 0.6949 0.5000
In: 0.6949 0.4382 0.5000
In: 0.8051 0.9382 0.5000
In: 0.9382 0.1949 0.5000